The following is a theoretical X-ray diffraction stick pattern of Pm5PrGa6. It was derived from a GGA-PBE-relaxed structure, using Cu Kα, 1.54184 Å.

Main lines, low angle first (10 to 80 degrees two-theta):
- hkl 1 0 1, 24.2 deg, I = 13.5
- hkl 1 2 1, 34.5 deg, I = 100.0
- hkl 0 2 3, 42.6 deg, I = 4.1
- hkl 2 0 2, 49.6 deg, I = 17.8
- hkl 1 4 1, 55.9 deg, I = 5.7
- hkl 3 2 0, 61.8 deg, I = 36.4
- hkl 2 4 2, 72.7 deg, I = 11.1
- hkl 0 6 0, 77.9 deg, I = 2.8

Crystal structure
a b c (Å): 5.1990 7.3560 8.2257
angles (deg): 90.00 108.37 90.00
Element x y z (fractional)
1 Pm 0.0000 0.0000 0.0000
2 Pm 0.3331 0.5000 0.6660
3 Pm 0.3346 0.0000 0.6689
4 Pm 0.6654 0.0000 0.3311
5 Pm 0.6669 0.5000 0.3340
6 Pr 0.0000 0.5000 0.0000
7 Ga 0.1677 0.2477 0.3359
8 Ga 0.1677 0.7523 0.3359
9 Ga 0.5000 0.2481 0.0000
10 Ga 0.5000 0.7519 0.0000
11 Ga 0.8323 0.2477 0.6641
12 Ga 0.8323 0.7523 0.6641


The following is a theoretical X-ray diffraction stick pattern of Ac2AgPt3. It was derived from a GGA-PBE-relaxed structure, using Cu Kα, 1.54184 Å.

Main lines, low angle first (10 to 80 degrees two-theta):
- hkl 1 1 2, 31.8 deg, I = 100.0
- hkl 0 1 5, 33.2 deg, I = 21.2
- hkl 1 0 5, 33.5 deg, I = 32.6
- hkl 0 1 7, 42.0 deg, I = 29.2
- hkl 1 0 7, 42.3 deg, I = 10.4
- hkl 0 2 0, 42.4 deg, I = 20.9
- hkl 2 0 0, 43.5 deg, I = 26.7
- hkl 1 2 5, 55.1 deg, I = 16.0
- hkl 2 1 5, 55.8 deg, I = 9.9
- hkl 2 1 7, 62.1 deg, I = 18.7
- hkl 2 2 0, 62.4 deg, I = 15.0
- hkl 1 3 2, 71.0 deg, I = 10.2

Crystal structure
a b c (Å): 4.1573 4.2595 17.4577
angles (deg): 90.00 90.00 90.00
Element x y z (fractional)
1 Ac 0.0000 0.0000 0.0000
2 Ac 0.0000 0.5000 0.2324
3 Ac 0.5000 0.0000 0.7324
4 Ac 0.5000 0.5000 0.5000
5 Ag 0.0000 0.0000 0.4038
6 Ag 0.5000 0.5000 0.9038
7 Pt 0.0000 0.0000 0.5602
8 Pt 0.0000 0.5000 0.6524
9 Pt 0.0000 0.5000 0.8031
10 Pt 0.5000 0.0000 0.1524
11 Pt 0.5000 0.0000 0.3031
12 Pt 0.5000 0.5000 0.0602